Entry 1:
# Ac3PaP2N8
Calculated X-ray diffraction stick pattern, CuKα. Input: a cell relaxed with PBE.

Principal peaks in the range 15° ≤ 2θ ≤ 90°, most intense first:
hkl 0 1 2, 2.956 Å, I 1000
hkl 1 1 0, 2.885 Å, I 957
hkl 2 0 2, 2.065 Å, I 436
hkl 1 2 2, 1.679 Å, I 390
hkl 1 0 1, 4.129 Å, I 370
hkl 3 0 0, 1.666 Å, I 193
hkl 3 1 2, 1.296 Å, I 175
hkl 1 0 4, 1.721 Å, I 169
hkl 0 2 1, 2.365 Å, I 166
hkl 2 1 4, 1.315 Å, I 147
hkl 2 2 0, 1.443 Å, I 141
hkl 1 0 0, 4.998 Å, I 134

abc: 5.7708 5.7708 7.3306
angles: 90.00 90.00 120.00
Space group P-3m1 (No. 164)
Asymmetric unit:
Ac: 0.0000 0.0000 0.0000 x1
Ac: 0.3333 0.6667 0.6816 x2
Pa: 0.0000 0.0000 0.5000 x1
P: 0.3333 0.6667 0.2190 x2
N: 0.1791 0.3582 0.3105 x6
N: 0.3333 0.6667 0.0003 x2

***

Entry 2:
# AcPa2PN6
Calculated X-ray diffraction stick pattern, CuKα. Input: a cell relaxed with PBE.

Principal peaks in the range 15° ≤ 2θ ≤ 90°, most intense first:
hkl 1 1 1, 3.098 Å, I 1000
hkl 2 0 0, 2.629 Å, I 320
hkl 3 1 1, 1.594 Å, I 296
hkl 2 0 2, 1.917 Å, I 273
hkl 2 2 0, 1.859 Å, I 150
hkl 0 0 1, 5.605 Å, I 149
hkl 0 0 2, 2.802 Å, I 146
hkl 1 1 3, 1.669 Å, I 133
hkl 1 0 0, 5.258 Å, I 115
hkl 1 0 1, 3.835 Å, I 113
hkl 2 2 2, 1.549 Å, I 110
hkl 3 1 3, 1.242 Å, I 102

abc: 5.2577 5.2577 5.6048
angles: 90.00 90.00 90.00
Space group P4mm (No. 99)
Asymmetric unit:
Ac: 0.0000 0.0000 0.0000 x1
Pa: 0.0000 0.5000 0.4625 x2
P: 0.5000 0.5000 0.1144 x1
N: 0.0000 0.0000 0.5595 x1
N: 0.2789 0.2789 0.2363 x4
N: 0.5000 0.5000 0.8129 x1

***

Entry 3:
# Ac8P3Pb4N
Calculated X-ray diffraction stick pattern, CuKα. Input: a cell relaxed with PBE.

Principal peaks in the range 15° ≤ 2θ ≤ 90°, most intense first:
hkl 2 2 -2, 3.210 Å, I 1000
hkl 0 4 0, 2.143 Å, I 371
hkl 2 2 1, 3.004 Å, I 346
hkl 4 0 -4, 2.421 Å, I 318
hkl 6 2 1, 1.711 Å, I 241
hkl 8 0 -4, 1.782 Å, I 182
hkl 0 0 3, 2.840 Å, I 180
hkl 4 0 -1, 3.674 Å, I 176
hkl 4 0 3, 1.737 Å, I 165
hkl 8 4 -4, 1.370 Å, I 150
hkl 4 0 -2, 3.565 Å, I 123
hkl 4 0 -7, 1.394 Å, I 89

abc: 14.8507 8.5715 9.8489
angles: 90.00 120.12 90.00
Space group C2/m (No. 12)
Asymmetric unit:
Ac: 0.0138 0.2352 0.3056 x8
Ac: 0.2214 0.0000 0.6944 x4
Ac: 0.2363 0.5000 0.7097 x4
P: 0.0000 0.5000 0.5000 x2
P: 0.2500 0.2500 0.5000 x4
Pb: 0.0000 0.0000 0.0000 x2
Pb: 0.0000 0.5000 0.0000 x2
Pb: 0.2500 0.2500 0.0000 x4
N: 0.0000 0.0000 0.5000 x2

***

Entry 4:
# Ac4PPb2N2
Calculated X-ray diffraction stick pattern, CuKα. Input: a cell relaxed with PBE.

Principal peaks in the range 15° ≤ 2θ ≤ 90°, most intense first:
hkl 1 1 -2, 3.181 Å, I 1000
hkl 5 1 -1, 2.664 Å, I 362
hkl 1 1 1, 3.557 Å, I 351
hkl 3 1 0, 3.278 Å, I 341
hkl 4 0 -2, 3.843 Å, I 332
hkl 4 0 1, 2.884 Å, I 327
hkl 0 2 0, 2.198 Å, I 223
hkl 3 1 3, 1.834 Å, I 222
hkl 5 1 -4, 2.042 Å, I 218
hkl 4 0 -3, 3.030 Å, I 208
hkl 0 0 3, 2.754 Å, I 198
hkl 4 2 1, 1.748 Å, I 156

abc: 16.9374 4.3963 9.4790
angles: 90.00 119.36 90.00
Space group C2/m (No. 12)
Asymmetric unit:
Ac: 0.0186 0.0000 0.2947 x4
Ac: 0.2206 0.5000 0.6329 x4
P: 0.0000 0.5000 0.5000 x2
Pb: 0.0992 0.5000 0.0591 x4
N: 0.1749 0.0000 0.4777 x4

***

Entry 5:
# Ac3PmP2N6
Calculated X-ray diffraction stick pattern, CuKα. Input: a cell relaxed with PBE.

Principal peaks in the range 15° ≤ 2θ ≤ 90°, most intense first:
hkl 1 1 0, 2.956 Å, I 1000
hkl 0 1 2, 2.833 Å, I 910
hkl 1 0 1, 4.091 Å, I 536
hkl 2 0 2, 2.046 Å, I 429
hkl 1 2 2, 1.682 Å, I 385
hkl 0 2 1, 2.396 Å, I 235
hkl 3 0 0, 1.707 Å, I 204
hkl 3 1 2, 1.311 Å, I 179
hkl 1 0 4, 1.614 Å, I 178
hkl 2 1 4, 1.277 Å, I 174
hkl 2 1 1, 1.862 Å, I 154
hkl 2 2 0, 1.478 Å, I 152

abc: 5.9128 5.9128 6.8022
angles: 90.00 90.00 120.00
Space group P-3m1 (No. 164)
Asymmetric unit:
Ac: 0.0000 0.0000 0.0000 x1
Ac: 0.3333 0.6667 0.6560 x2
Pm: 0.0000 0.0000 0.5000 x1
P: 0.3333 0.6667 0.1821 x2
N: 0.1835 0.3669 0.2869 x6

***

Entry 6:
# Ac4PS2N2
Calculated X-ray diffraction stick pattern, CuKα. Input: a cell relaxed with PBE.

Principal peaks in the range 15° ≤ 2θ ≤ 90°, most intense first:
hkl 1 1 -2, 2.829 Å, I 1000
hkl 4 0 -2, 3.326 Å, I 884
hkl 3 1 0, 3.154 Å, I 569
hkl 0 2 0, 2.070 Å, I 466
hkl 5 1 -1, 2.529 Å, I 464
hkl 4 0 0, 3.647 Å, I 453
hkl 1 1 -1, 3.663 Å, I 447
hkl 0 0 2, 3.597 Å, I 363
hkl 3 1 2, 2.112 Å, I 351
hkl 8 0 -1, 1.969 Å, I 218
hkl 1 1 0, 3.986 Å, I 213
hkl 1 1 -4, 1.712 Å, I 196

abc: 15.9587 4.1435 7.8714
angles: 90.00 113.93 90.00
Space group C2/m (No. 12)
Asymmetric unit:
Ac: 0.0217 0.0000 0.2459 x4
Ac: 0.2206 0.5000 0.6797 x4
P: 0.0000 0.5000 0.5000 x2
S: 0.1233 0.5000 0.0420 x4
N: 0.1738 0.0000 0.4810 x4

***

Entry 7:
# AcSn3P4N12
Calculated X-ray diffraction stick pattern, CuKα. Input: a cell relaxed with PBE.

Principal peaks in the range 15° ≤ 2θ ≤ 90°, most intense first:
hkl 2 0 2, 3.086 Å, I 1000
hkl 0 2 1, 4.025 Å, I 657
hkl 2 2 0, 2.654 Å, I 337
hkl 2 1 1, 3.207 Å, I 238
hkl 0 2 4, 1.896 Å, I 233
hkl 2 2 3, 1.918 Å, I 188
hkl 1 3 1, 2.438 Å, I 175
hkl 1 1 0, 5.309 Å, I 142
hkl 0 4 2, 2.012 Å, I 132
hkl 3 1 2, 2.175 Å, I 131
hkl 5 2 0, 1.472 Å, I 129
hkl 4 1 3, 1.626 Å, I 111

abc: 10.6176 10.6176 8.3254
angles: 90.00 90.00 120.00
Space group R32 (No. 155, hexagonal axes)
Asymmetric unit:
Ac: 0.0000 0.0000 0.0000 x3
Sn: 0.0000 0.5529 0.0000 x9
P: 0.0000 0.0000 0.5000 x3
P: 0.0000 0.4438 0.5000 x9
N: 0.0000 0.5934 0.5000 x9
N: 0.0000 0.8513 0.5000 x9
N: 0.0308 0.2128 0.1897 x18

***

Entry 8:
# SrAc3P2N6
Calculated X-ray diffraction stick pattern, CuKα. Input: a cell relaxed with PBE.

Principal peaks in the range 15° ≤ 2θ ≤ 90°, most intense first:
hkl 1 1 0, 2.996 Å, I 1000
hkl 0 1 2, 2.829 Å, I 883
hkl 1 0 1, 4.114 Å, I 780
hkl 2 0 2, 2.057 Å, I 420
hkl 1 2 2, 1.696 Å, I 379
hkl 0 2 1, 2.422 Å, I 318
hkl 2 1 1, 1.884 Å, I 223
hkl 3 0 0, 1.730 Å, I 205
hkl 1 1 3, 1.799 Å, I 197
hkl 3 1 2, 1.324 Å, I 181
hkl 2 1 4, 1.279 Å, I 168
hkl 1 0 4, 1.604 Å, I 165

abc: 5.9929 5.9929 6.7476
angles: 90.00 90.00 120.00
Space group P-3m1 (No. 164)
Asymmetric unit:
Sr: 0.0000 0.0000 0.0000 x1
Ac: 0.0000 0.0000 0.5000 x1
Ac: 0.3333 0.6667 0.1611 x2
P: 0.3333 0.6667 0.6851 x2
N: 0.1850 0.3699 0.7758 x6

***

Entry 9:
# Ac2TbP2N6
Calculated X-ray diffraction stick pattern, CuKα. Input: a cell relaxed with PBE.

Principal peaks in the range 15° ≤ 2θ ≤ 90°, most intense first:
hkl 0 1 1, 3.934 Å, I 1000
hkl 1 1 0, 2.923 Å, I 744
hkl 1 0 2, 2.659 Å, I 621
hkl 2 0 1, 2.346 Å, I 369
hkl 1 2 1, 1.830 Å, I 288
hkl 2 1 2, 1.632 Å, I 276
hkl 0 2 2, 1.967 Å, I 274
hkl 2 -1 3, 1.696 Å, I 226
hkl 3 0 0, 1.688 Å, I 166
hkl 4 -3 2, 1.281 Å, I 131
hkl 1 2 4, 1.210 Å, I 119
hkl 0 1 4, 1.493 Å, I 116

abc: 5.8459 5.8459 6.2497
angles: 90.00 90.00 120.00
Space group P-3 (No. 147)
Asymmetric unit:
Ac: 0.3333 0.6667 0.3209 x2
Tb: 0.0000 0.0000 0.0000 x1
P: 0.3333 0.6667 0.8122 x2
N: 0.1193 0.3639 0.7617 x6

***

Entry 10:
# AcTc2PN2
Calculated X-ray diffraction stick pattern, CuKα. Input: a cell relaxed with PBE.

Principal peaks in the range 15° ≤ 2θ ≤ 90°, most intense first:
hkl 0 1 1, 4.147 Å, I 1000
hkl 0 0 2, 3.246 Å, I 843
hkl 2 0 -1, 3.172 Å, I 761
hkl 1 2 -1, 2.407 Å, I 717
hkl 1 1 0, 4.047 Å, I 616
hkl 1 1 -1, 3.797 Å, I 542
hkl 2 0 1, 2.491 Å, I 537
hkl 1 2 1, 2.217 Å, I 512
hkl 2 0 -3, 2.094 Å, I 480
hkl 2 1 0, 2.664 Å, I 451
hkl 3 2 -2, 1.623 Å, I 353
hkl 1 2 0, 2.467 Å, I 315

abc: 6.4384 5.3903 6.8209
angles: 90.00 107.85 90.00
Space group P2_1/m (No. 11)
Asymmetric unit:
Ac: 0.1664 0.2500 0.2849 x2
Tc: 0.3566 0.5025 0.7991 x4
P: 0.3058 0.7500 0.0699 x2
N: 0.1534 0.2500 0.6644 x2
N: 0.4348 0.7500 0.6316 x2

***

Entry 11:
# Ac2PaN3
Calculated X-ray diffraction stick pattern, CuKα. Input: a cell relaxed with PBE.

Principal peaks in the range 15° ≤ 2θ ≤ 90°, most intense first:
hkl 0 4 0, 2.650 Å, I 1000
hkl 2 2 0, 3.086 Å, I 798
hkl 0 2 6, 3.035 Å, I 756
hkl 2 4 6, 1.874 Å, I 481
hkl 4 2 6, 1.609 Å, I 262
hkl 2 2 12, 1.587 Å, I 245
hkl 2 8 6, 1.185 Å, I 215
hkl 2 6 0, 1.602 Å, I 128
hkl 4 4 0, 1.543 Å, I 126
hkl 0 6 6, 1.595 Å, I 125
hkl 4 0 0, 1.897 Å, I 123
hkl 0 4 12, 1.518 Å, I 122

abc: 7.5886 10.6068 22.2071
angles: 90.00 90.00 90.00
Space group Fddd (No. 70, origin choice 2)
Asymmetric unit:
Ac: 0.1250 0.1250 0.0418 x16
Ac: 0.1250 0.1250 0.3737 x16
Pa: 0.1250 0.1250 0.5415 x16
N: 0.0693 0.3750 0.8750 x16
N: 0.0991 0.3519 0.7168 x32

***

Entry 12:
# Ac6PaN8
Calculated X-ray diffraction stick pattern, CuKα. Input: a cell relaxed with PBE.

Principal peaks in the range 15° ≤ 2θ ≤ 90°, most intense first:
hkl 2 2 2, 3.128 Å, I 1000
hkl 4 0 0, 2.709 Å, I 674
hkl 6 2 2, 1.634 Å, I 498
hkl 4 4 0, 1.916 Å, I 488
hkl 8 4 0, 1.212 Å, I 218
hkl 6 6 2, 1.243 Å, I 212
hkl 8 4 4, 1.106 Å, I 170
hkl 4 4 4, 1.564 Å, I 168
hkl 3 1 1, 3.267 Å, I 78
hkl 8 0 0, 1.355 Å, I 78
hkl 2 0 0, 5.418 Å, I 60
hkl 2 2 0, 3.831 Å, I 52

abc: 10.8360 10.8360 10.8360
angles: 90.00 90.00 90.00
Space group Fm-3m (No. 225)
Asymmetric unit:
Ac: 0.0000 0.2500 0.2500 x24
Pa: 0.0000 0.0000 0.0000 x4
N: 0.0000 0.0000 0.2128 x24
N: 0.2500 0.2500 0.2500 x8